[1]
Simulated powder diffraction line list of Fe9B4Rh3 for Cu Kα (weighted mean of Kα1 and Kα2), from a crystal structure in the Materials Project, relaxed with GGA-PBE.
Intensities are scaled so that the largest is 100.

Crystal structure
```
16
Lattice="4.4957 0.0000 0.0000 0.0000 6.8780 0.0000 -0.0221 0.0000 5.4592" Properties=species:S:1:pos:R:3 pbc="T T T"
Fe 0.0000 0.0000 0.0000
Fe 0.0682 2.1091 3.8465
Fe 0.0682 4.7690 3.8465
Fe 1.0454 2.1167 1.0887
Fe 1.0454 4.7613 1.0887
Fe 2.3298 1.2765 4.6564
Fe 2.3298 5.6016 4.6564
Fe 3.3041 1.2925 1.8883
Fe 3.3041 5.5855 1.8883
B 1.3143 3.4390 4.9354
B 2.0147 0.0000 0.8117
B 3.5664 0.0000 3.5282
B 4.2911 3.4390 2.2263
Rh 1.0779 0.0000 2.7251
Rh 2.2634 3.4390 3.0202
Rh 3.3526 3.4390 0.2877
```

Top 10 peaks for 2θ from 10° to 80°, by angle:
- 2θ 36.79, I = 100
- 2θ 40.77, I = 36
- 2θ 40.91, I = 42
- 2θ 42.27, I = 97
- 2θ 43.48, I = 29
- 2θ 43.61, I = 30
- 2θ 44.35, I = 93
- 2θ 45.53, I = 52
- 2θ 45.66, I = 53
- 2θ 47.54, I = 38

[2]
Simulated powder diffraction line list of FeB3Rh6 for Cu Kα (weighted mean of Kα1 and Kα2), from a crystal structure in the Materials Project, relaxed with GGA-PBE.
Intensities are scaled so that the largest is 100.

Crystal structure
```
20
Lattice="6.4996 -3.7595 0.0000 6.4996 3.7595 0.0000 -0.0186 0.0000 4.7607" Properties=species:S:1:pos:R:3 pbc="T T T"
Fe 6.4996 2.4123 0.0000
Fe 6.4996 -2.4123 0.0000
B 4.7407 2.0987 1.3056
B 1.1245 0.0000 1.3217
B 8.7570 1.6255 3.6578
B 5.9664 0.0000 3.6439
B 4.7407 -2.0987 1.3056
B 8.7570 -1.6255 3.6578
Rh 2.6713 1.4104 0.8347
Rh 1.8327 0.0000 3.3047
Rh 4.3248 1.4053 3.2438
Rh 7.0050 1.4318 2.4034
Rh 2.6713 -1.4104 0.8347
Rh 5.1830 0.0000 0.8160
Rh 4.3248 -1.4053 3.2438
Rh 7.8260 0.0000 4.7436
Rh 9.4482 0.0000 2.4712
Rh 7.0050 -1.4318 2.4034
Rh 10.6874 0.0000 0.1116
Rh 12.1930 0.0000 2.4145
```

Top 10 peaks for 2θ from 10° to 80°, by angle:
- 2θ 33.35, I = 42
- 2θ 36.54, I = 45
- 2θ 37.79, I = 15
- 2θ 40.34, I = 43
- 2θ 41.29, I = 100
- 2θ 41.40, I = 55
- 2θ 45.96, I = 27
- 2θ 48.47, I = 22
- 2θ 75.05, I = 22
- 2θ 75.76, I = 22

[3]
Simulated powder diffraction line list of Ti2FeB2Ru2Rh3 for Cu Kα (weighted mean of Kα1 and Kα2), from a crystal structure in the Materials Project, relaxed with GGA-PBE.
Intensities are scaled so that the largest is 100.

Crystal structure
```
20
Lattice="9.1138 0.0000 0.0000 0.0000 9.2017 0.0000 0.0000 0.0000 3.0017" Properties=species:S:1:pos:R:3 pbc="T T T"
Ti 1.6135 1.6515 0.0000
Ti 2.9434 6.2523 0.0000
Ti 6.1704 2.9493 0.0000
Ti 7.5003 7.5502 0.0000
Fe 0.0000 4.6008 0.0000
Fe 4.5569 0.0000 0.0000
B 1.1263 8.0273 0.0000
B 3.4306 3.4265 0.0000
B 5.6832 5.7752 0.0000
B 7.9875 1.1743 0.0000
Ru 0.6672 6.5515 1.5009
Ru 3.8897 1.9507 1.5009
Ru 5.2240 7.2510 1.5009
Ru 8.4466 2.6501 1.5009
Rh 0.0000 0.0000 1.5009
Rh 1.9657 3.9294 1.5009
Rh 2.5912 8.5302 1.5009
Rh 4.5569 4.6008 1.5009
Rh 6.5226 0.6714 1.5009
Rh 7.1481 5.2722 1.5009
```

Top 10 peaks for 2θ from 10° to 80°, by angle:
- 2θ 29.76, I = 83
- 2θ 37.14, I = 92
- 2θ 40.44, I = 73
- 2θ 40.80, I = 68
- 2θ 41.00, I = 52
- 2θ 43.33, I = 100
- 2θ 43.51, I = 93
- 2θ 44.37, I = 43
- 2θ 46.80, I = 43
- 2θ 46.91, I = 47